# Rb5OsO6
Calculated X-ray diffraction stick pattern, Cu Kα X-rays. Input: the GGA-PBE geometry in Alexandria.

Most intense lines, 2θ from 5° to 70°, by angle:
d 5.537, I = 17.4
d 3.152, I = 100.0
d 3.057, I = 30.1
d 2.719, I = 33.5
d 2.703, I = 66.9
d 1.938, I = 31.9
d 1.896, I = 20.3
d 1.649, I = 11.8
d 1.634, I = 22.9
d 1.576, I = 14.6

Structural model:
```
Rb5OsO6
1.0
3.3612 -5.8060 0.0000
3.3612 5.8060 0.0000
-2.2799 0.0000 6.1149
Rb Os O
5 1 6
Direct
0.0000 0.0000 0.0000
0.1675 0.8325 0.5000
0.3388 0.6612 0.0000
0.6612 0.3388 0.0000
0.8325 0.1675 0.5000
0.5000 0.5000 0.5000
0.2035 0.4388 0.3151
0.3248 0.3248 0.6810
0.4388 0.2035 0.3151
0.5612 0.7965 0.6849
0.6752 0.6752 0.3190
0.7965 0.5612 0.6849
```


# RbOsS2O8
Calculated X-ray diffraction stick pattern, Cu Kα X-rays. Input: the GGA-PBE geometry in Alexandria.

Most intense lines, 2θ from 5° to 70°, by angle:
d 8.628, I = 49.5
d 4.005, I = 24.8
d 3.530, I = 100.0
d 2.566, I = 27.0
d 2.432, I = 28.4
d 2.205, I = 14.7
d 2.118, I = 20.7
d 2.003, I = 15.5
d 1.614, I = 13.8
d 1.546, I = 15.2

Structural model:
```
RbOsS2O8
1.0
2.4319 1.4041 8.6277
-2.4319 1.4041 8.6277
0.0000 -2.8081 8.6277
Rb Os S O
1 1 2 8
Direct
0.0000 0.0000 0.0000
0.5000 0.5000 0.5000
0.2337 0.2337 0.2337
0.7663 0.7663 0.7663
0.0891 0.5033 0.7635
0.2365 0.9109 0.4967
0.2902 0.2902 0.2902
0.4967 0.2365 0.9109
0.5033 0.7635 0.0891
0.7098 0.7098 0.7098
0.7635 0.0891 0.5033
0.9109 0.4967 0.2365
```


# RbSc2OsO8
Calculated X-ray diffraction stick pattern, Cu Kα X-rays. Input: the GGA-PBE geometry in Alexandria.

Most intense lines, 2θ from 5° to 70°, by angle:
d 7.282, I = 41.8
d 4.801, I = 39.8
d 4.008, I = 21.8
d 3.641, I = 17.5
d 3.394, I = 100.0
d 2.901, I = 78.4
d 2.484, I = 27.7
d 2.400, I = 20.8
d 1.850, I = 44.3
d 1.604, I = 17.4

Structural model:
```
RbSc2OsO8
1.0
4.7952 0.0000 0.0000
0.0000 7.2816 0.0000
-0.0087 0.0000 4.8061
Rb Sc Os O
1 2 1 8
Direct
0.0000 0.0000 0.0000
0.5000 0.2843 0.5000
0.5000 0.7157 0.5000
0.0000 0.5000 0.0000
0.1969 0.3197 0.8050
0.1969 0.6803 0.8050
0.2912 0.5000 0.2928
0.3884 0.0000 0.3912
0.6116 0.0000 0.6088
0.7088 0.5000 0.7072
0.8031 0.3197 0.1950
0.8031 0.6803 0.1950
```


# Rb2TlOsO6
Calculated X-ray diffraction stick pattern, Cu Kα X-rays. Input: the GGA-PBE geometry in Alexandria.

Most intense lines, 2θ from 5° to 70°, by angle:
d 5.511, I = 100.0
d 3.182, I = 66.7
d 2.657, I = 46.0
d 2.195, I = 22.9
d 2.083, I = 11.3
d 2.040, I = 30.3
d 1.837, I = 13.3
d 1.717, I = 29.8
d 1.591, I = 11.5
d 1.365, I = 13.4

Structural model:
```
Rb2TlOsO6
1.0
6.3636 0.0000 0.0000
-3.1818 5.5110 0.0000
0.0000 0.0000 6.0666
Rb Tl Os O
2 1 1 6
Direct
0.3333 0.6667 0.3592
0.6667 0.3333 0.6408
0.0000 0.0000 0.0000
0.0000 0.0000 0.5000
0.1377 0.2754 0.6870
0.1377 0.8623 0.6870
0.2754 0.1377 0.3130
0.7246 0.8623 0.6870
0.8623 0.1377 0.3130
0.8623 0.7246 0.3130
```


# Rb2TlOs2O7
Calculated X-ray diffraction stick pattern, Cu Kα X-rays. Input: the GGA-PBE geometry in Alexandria.

Most intense lines, 2θ from 5° to 70°, by angle:
d 11.280, I = 72.6
d 2.974, I = 100.0
d 2.797, I = 48.8
d 2.499, I = 15.8
d 2.256, I = 12.7
d 1.978, I = 24.7
d 1.756, I = 17.9
d 1.647, I = 36.3
d 1.551, I = 7.8
d 1.487, I = 13.3

Structural model:
```
Rb2TlOs2O7
1.0
-1.9779 1.9779 11.2797
1.9779 -1.9779 11.2797
1.9779 1.9779 -11.2797
Rb Tl Os O
2 1 2 7
Direct
0.1899 0.1899 0.0000
0.8101 0.8101 0.0000
0.0000 0.0000 0.0000
0.4095 0.4095 0.0000
0.5905 0.5905 0.0000
0.0886 0.5886 0.5000
0.3260 0.3260 0.0000
0.4114 0.9114 0.5000
0.5000 0.5000 0.0000
0.5886 0.0886 0.5000
0.6740 0.6740 0.0000
0.9114 0.4114 0.5000
```


# Rb2TmOs3O12
Calculated X-ray diffraction stick pattern, Cu Kα X-rays. Input: the GGA-PBE geometry in Alexandria.

Most intense lines, 2θ from 5° to 70°, by angle:
d 6.212, I = 44.0
d 6.007, I = 75.0
d 3.214, I = 52.5
d 3.156, I = 93.7
d 3.128, I = 61.4
d 3.106, I = 32.9
d 3.004, I = 100.0
d 2.002, I = 29.2
d 1.878, I = 40.5
d 1.832, I = 44.6

Structural model:
```
Rb2TmOs3O12
1.0
3.6639 2.1154 6.2117
-3.6639 2.1154 6.2117
0.0000 -4.2308 6.2117
Rb Tm Os O
2 1 3 12
Direct
0.1197 0.1197 0.1197
0.8803 0.8803 0.8803
0.5000 0.5000 0.5000
0.0000 0.5000 0.5000
0.5000 0.0000 0.5000
0.5000 0.5000 0.0000
0.1466 0.5755 0.5755
0.1950 0.1950 0.5752
0.1950 0.5752 0.1950
0.4245 0.4245 0.8534
0.4248 0.8050 0.8050
0.4245 0.8534 0.4245
0.5755 0.1466 0.5755
0.5752 0.1950 0.1950
0.5755 0.5755 0.1466
0.8050 0.4248 0.8050
0.8050 0.8050 0.4248
0.8534 0.4245 0.4245
```